Starting from a structure optimized by DFT (GGA-PBE), the XRD peak list of CuH8C2Br3NO was calculated for Cu Kα (weighted mean of Kα1 and Kα2).
Intensities are scaled so that the largest is 100.

Crystal structure
Lattice parameters (Å, degrees): 6.495 8.427 8.974 68.47 79.88 76.94
Space group P-1 (No. 2)
Unique sites:
Cu (0.239, 0.432, 0.108) x2
H (0.044, 0.864, 0.210) x2
H (0.109, 0.822, 0.552) x2
H (0.145, 0.871, 0.776) x2
H (0.167, 0.655, 0.480) x2
H (0.191, 0.035, 0.103) x2
H (0.353, 0.698, 0.560) x2
H (0.374, 0.968, 0.348) x2
H (0.423, 0.793, 0.271) x2
C (0.122, 0.961, 0.223) x2
C (0.301, 0.872, 0.329) x2
Br (0.126, 0.410, 0.867) x2
Br (0.282, 0.386, 0.387) x2
Br (0.419, 0.745, 0.937) x2
N (0.225, 0.755, 0.490) x2
O (0.028, 0.926, 0.707) x2

Peak list (10 most intense, 5° ≤ 2θ ≤ 70°, most intense first)
- 11.47 deg, intensity 100, (0 1 0)
- 24.85 deg, intensity 74, (1 2 0)
- 10.65 deg, intensity 43, (0 0 1)
- 12.72 deg, intensity 37, (0 1 1)
- 40.15 deg, intensity 31, (-2 2 1)
- 31.19 deg, intensity 25, (1 1 3)
- 25.60 deg, intensity 24, (0 2 2)
- 32.58 deg, intensity 22, (2 -1 0)
- 34.02 deg, intensity 20, (-2 1 1)
- 26.91 deg, intensity 20, (1 0 -2)